1.
Computed X-ray powder pattern of Cu4Ag for CuKα, from a DFT-relaxed cell (GGA-PBE, OQMD).

Atomic structure:
Cell lengths 4.526, 6.928, 9.186 Å; angles 71.50, 80.88, 71.46 degrees
Space group P1 (No. 1)
Symmetry-distinct sites (fractional):
Cu 0.000 0.000 0.000 (multiplicity 1)
Cu 0.000 0.200 0.198 (multiplicity 1)
Cu 0.010 0.388 0.910 (multiplicity 1)
Cu 0.012 0.790 0.300 (multiplicity 1)
Cu 0.013 0.397 0.389 (multiplicity 1)
Cu 0.020 0.998 0.483 (multiplicity 1)
Cu 0.021 0.588 0.102 (multiplicity 1)
Cu 0.022 0.202 0.673 (multiplicity 1)
Cu 0.031 0.594 0.580 (multiplicity 1)
Cu 0.508 0.300 0.053 (multiplicity 1)
Cu 0.511 0.102 0.344 (multiplicity 1)
Cu 0.512 0.488 0.248 (multiplicity 1)
Cu 0.515 0.680 0.958 (multiplicity 1)
Cu 0.519 0.692 0.443 (multiplicity 1)
Cu 0.521 0.297 0.531 (multiplicity 1)
Cu 0.521 0.905 0.622 (multiplicity 1)
Ag 0.016 0.794 0.792 (multiplicity 1)
Ag 0.494 0.096 0.838 (multiplicity 1)
Ag 0.508 0.893 0.151 (multiplicity 1)
Ag 0.539 0.496 0.740 (multiplicity 1)

Principal peaks in the range 10 to 90 degrees two-theta, sorted by position:
| d/Å | two_theta | I (rel.) |
| --- | --- | --- |
| 2.158 | 41.86 | 99 |
| 2.143 | 42.17 | 100 |
| 1.873 | 48.62 | 62 |
| 1.842 | 49.47 | 31 |
| 1.314 | 71.86 | 26 |
| 1.125 | 86.55 | 15 |

2.
Computed X-ray powder pattern of ZnGa2Te2Se2 for CuKα, from a DFT-relaxed cell (GGA-PBE, OQMD).

Atomic structure:
Cell lengths 8.157, 11.440, 5.849 Å; angles 90.00, 133.87, 90.00 degrees
Space group C2 (No. 5)
Symmetry-distinct sites (fractional):
Zn 0.000 0.000 0.000 (multiplicity 2)
Ga 0.000 0.499 0.000 (multiplicity 2)
Ga 0.000 0.735 0.500 (multiplicity 2)
Te 0.225 0.358 0.499 (multiplicity 4)
Se 0.250 0.126 0.992 (multiplicity 4)

Principal peaks in the range 10 to 90 degrees two-theta, sorted by position:
| d/Å | two_theta | I (rel.) |
| --- | --- | --- |
| 3.394 | 26.26 | 100 |
| 3.321 | 26.85 | 83 |
| 2.108 | 42.89 | 23 |
| 2.050 | 44.18 | 39 |
| 2.044 | 44.31 | 39 |
| 2.039 | 44.43 | 18 |

3.
Computed X-ray powder pattern of Pr3SbTe2 for CuKα, from a DFT-relaxed cell (GGA-PBE, OQMD).

Atomic structure:
Cell lengths 4.5428, 4.5428, 11.1138 Å; angles 90.00, 90.00, 120.00 degrees
Space group P-3m1 (No. 164)
Symmetry-distinct sites (fractional):
Pr 0.0000 0.0000 0.0000 (multiplicity 1)
Pr 0.3333 0.6667 0.3392 (multiplicity 2)
Sb 0.0000 0.0000 0.5000 (multiplicity 1)
Te 0.3333 0.6667 0.8329 (multiplicity 2)

Principal peaks in the range 10 to 90 degrees two-theta, sorted by position:
| d/Å | two_theta | I (rel.) |
| --- | --- | --- |
| 3.211 | 27.78 | 100 |
| 2.270 | 39.70 | 77 |
| 1.854 | 49.15 | 27 |
| 1.605 | 57.39 | 13 |
| 1.436 | 64.94 | 35 |
| 1.311 | 72.04 | 26 |

4.
Computed X-ray powder pattern of PaTe2I8 for CuKα, from a DFT-relaxed cell (GGA-PBE, OQMD).

Atomic structure:
Cell lengths 9.773, 13.098, 11.267 Å; angles 90.00, 106.59, 90.00 degrees
Space group C2/m (No. 12)
Symmetry-distinct sites (fractional):
Pa 0.000 0.000 0.000 (multiplicity 2)
Te 0.087 0.000 0.421 (multiplicity 4)
I 0.102 0.157 0.859 (multiplicity 8)
I 0.167 0.500 0.388 (multiplicity 4)
I 0.219 0.500 0.806 (multiplicity 4)

Principal peaks in the range 10 to 90 degrees two-theta, sorted by position:
| d/Å | two_theta | I (rel.) |
| --- | --- | --- |
| 7.619 | 11.61 | 100 |
| 6.549 | 13.52 | 94 |
| 3.393 | 26.27 | 65 |
| 3.125 | 28.57 | 53 |
| 2.985 | 29.93 | 42 |
| 2.344 | 38.40 | 36 |

5.
Computed X-ray powder pattern of ZnPbSO for CuKα, from a DFT-relaxed cell (GGA-PBE, OQMD).

Atomic structure:
Cell lengths 9.626, 18.938, 3.907 Å; angles 90.00, 90.00, 90.00 degrees
Space group Pbam (No. 55)
Symmetry-distinct sites (fractional):
Zn 0.055 0.127 0.000 (multiplicity 4)
Zn 0.147 0.626 0.000 (multiplicity 4)
Pb 0.177 0.268 0.500 (multiplicity 4)
Pb 0.241 0.488 0.500 (multiplicity 4)
S 0.025 0.606 0.500 (multiplicity 4)
S 0.071 0.856 0.500 (multiplicity 4)
O 0.194 0.049 0.000 (multiplicity 4)
O 0.213 0.202 0.000 (multiplicity 4)

Principal peaks in the range 10 to 90 degrees two-theta, sorted by position:
| d/Å | two_theta | I (rel.) |
| --- | --- | --- |
| 4.813 | 18.43 | 35 |
| 3.377 | 26.39 | 100 |
| 3.013 | 29.64 | 66 |
| 2.998 | 29.80 | 33 |
| 2.554 | 35.14 | 40 |
| 1.952 | 46.52 | 31 |

6.
Computed X-ray powder pattern of YAgS2 for CuKα, from a DFT-relaxed cell (GGA-PBE, OQMD).

Atomic structure:
Cell lengths 4.108, 6.588, 13.255 Å; angles 90.00, 90.00, 90.00 degrees
Space group P2_12_12_1 (No. 19)
Symmetry-distinct sites (fractional):
Y 0.238 0.206 0.371 (multiplicity 4)
Ag 0.002 0.204 0.121 (multiplicity 4)
S 0.239 0.093 0.727 (multiplicity 4)
S 0.241 0.484 0.527 (multiplicity 4)

Principal peaks in the range 10 to 90 degrees two-theta, sorted by position:
| d/Å | two_theta | I (rel.) |
| --- | --- | --- |
| 3.924 | 22.66 | 42 |
| 3.314 | 26.91 | 47 |
| 3.294 | 27.07 | 33 |
| 3.085 | 28.94 | 100 |
| 2.336 | 38.54 | 69 |
| 1.939 | 46.85 | 47 |

7.
Computed X-ray powder pattern of NbAsPCl13 for CuKα, from a DFT-relaxed cell (GGA-PBE, OQMD).

Atomic structure:
Cell lengths 10.113, 16.008, 11.670 Å; angles 90.00, 90.00, 90.00 degrees
Space group Cmc2_1 (No. 36)
Symmetry-distinct sites (fractional):
Nb 0.000 0.207 0.000 (multiplicity 4)
As 0.000 0.448 0.848 (multiplicity 4)
P 0.000 0.141 0.535 (multiplicity 4)
Cl 0.000 0.087 0.879 (multiplicity 4)
Cl 0.000 0.138 0.367 (multiplicity 4)
Cl 0.000 0.258 0.586 (multiplicity 4)
Cl 0.000 0.331 0.112 (multiplicity 4)
Cl 0.000 0.445 0.658 (multiplicity 4)
Cl 0.157 0.084 0.593 (multiplicity 8)
Cl 0.166 0.147 0.116 (multiplicity 8)
Cl 0.166 0.269 0.878 (multiplicity 8)
Cl 0.166 0.463 0.370 (multiplicity 8)

Principal peaks in the range 10 to 90 degrees two-theta, sorted by position:
| d/Å | two_theta | I (rel.) |
| --- | --- | --- |
| 6.897 | 12.84 | 65 |
| 5.057 | 17.54 | 57 |
| 4.820 | 18.41 | 43 |
| 4.718 | 18.81 | 100 |
| 2.873 | 31.14 | 45 |
| 2.766 | 32.37 | 42 |

8.
Computed X-ray powder pattern of NdTa for CuKα, from a DFT-relaxed cell (GGA-PBE, OQMD).

Atomic structure:
Cell lengths 3.1752, 3.1752, 5.5308 Å; angles 90.00, 90.00, 120.00 degrees
Space group P-6m2 (No. 187)
Symmetry-distinct sites (fractional):
Nd 0.0000 0.0000 0.0000 (multiplicity 1)
Ta 0.6667 0.3333 0.5000 (multiplicity 1)

Principal peaks in the range 10 to 90 degrees two-theta, sorted by position:
| d/Å | two_theta | I (rel.) |
| --- | --- | --- |
| 2.765 | 32.37 | 31 |
| 2.750 | 32.56 | 23 |
| 2.462 | 36.49 | 100 |
| 1.588 | 58.10 | 17 |
| 1.531 | 60.46 | 23 |
| 1.377 | 68.10 | 22 |

9.
Computed X-ray powder pattern of PrHfBe2Ge2 for CuKα, from a DFT-relaxed cell (GGA-PBE, OQMD).

Atomic structure:
Cell lengths 3.8618, 3.8618, 8.0155 Å; angles 90.00, 90.00, 120.00 degrees
Space group P-3m1 (No. 164)
Symmetry-distinct sites (fractional):
Pr 0.0000 0.0000 0.0000 (multiplicity 1)
Hf 0.0000 0.0000 0.5000 (multiplicity 1)
Be 0.3333 0.6667 0.2835 (multiplicity 2)
Ge 0.3333 0.6667 0.7273 (multiplicity 2)

Principal peaks in the range 10 to 90 degrees two-theta, sorted by position:
| d/Å | two_theta | I (rel.) |
| --- | --- | --- |
| 3.344 | 26.65 | 35 |
| 2.568 | 34.94 | 100 |
| 1.931 | 47.06 | 32 |
| 1.543 | 59.94 | 21 |
| 1.390 | 67.35 | 19 |
| 1.206 | 79.51 | 19 |

10.
Computed X-ray powder pattern of YZrGaFe for CuKα, from a DFT-relaxed cell (GGA-PBE, OQMD).

Atomic structure:
Cell lengths 6.597, 6.597, 6.597 Å; angles 90.00, 90.00, 90.00 degrees
Space group F-43m (No. 216)
Symmetry-distinct sites (fractional):
Y 0.000 0.000 0.000 (multiplicity 4)
Zr 0.250 0.250 0.750 (multiplicity 4)
Ga 0.250 0.250 0.250 (multiplicity 4)
Fe 0.000 0.000 0.500 (multiplicity 4)

Principal peaks in the range 10 to 90 degrees two-theta, sorted by position:
| d/Å | two_theta | I (rel.) |
| --- | --- | --- |
| 3.809 | 23.35 | 4 |
| 2.332 | 38.60 | 100 |
| 1.989 | 45.61 | 2 |
| 1.649 | 55.74 | 16 |
| 1.347 | 69.85 | 32 |
| 1.166 | 82.76 | 10 |

11.
Computed X-ray powder pattern of CsCuAg2C4N4 for CuKα, from a DFT-relaxed cell (GGA-PBE, OQMD).

Atomic structure:
Cell lengths 7.684, 7.539, 8.199 Å; angles 90.00, 103.80, 90.00 degrees
Space group P2/c (No. 13)
Symmetry-distinct sites (fractional):
Cs 0.000 0.244 0.250 (multiplicity 2)
Cu 0.000 0.258 0.750 (multiplicity 2)
Ag 0.500 0.000 0.000 (multiplicity 2)
Ag 0.500 0.442 0.250 (multiplicity 2)
C 0.290 0.079 0.597 (multiplicity 4)
C 0.292 0.420 0.041 (multiplicity 4)
N 0.169 0.129 0.650 (multiplicity 4)
N 0.170 0.388 0.927 (multiplicity 4)

Principal peaks in the range 10 to 90 degrees two-theta, sorted by position:
| d/Å | two_theta | I (rel.) |
| --- | --- | --- |
| 3.731 | 23.85 | 50 |
| 3.520 | 25.30 | 24 |
| 3.365 | 26.49 | 100 |
| 2.953 | 30.27 | 31 |
| 2.882 | 31.03 | 28 |
| 2.076 | 43.60 | 23 |

12.
Computed X-ray powder pattern of Ho2TmZn3NiAu2 for CuKα, from a DFT-relaxed cell (GGA-PBE, OQMD).

Atomic structure:
Cell lengths 3.904, 12.512, 7.229 Å; angles 90.00, 90.00, 90.00 degrees
Space group Amm2 (No. 38)
Symmetry-distinct sites (fractional):
Ho 0.000 0.198 0.000 (multiplicity 4)
Tm 0.000 0.000 0.409 (multiplicity 2)
Zn 0.500 0.000 0.033 (multiplicity 2)
Zn 0.500 0.115 0.686 (multiplicity 4)
Ni 0.000 0.000 0.801 (multiplicity 2)
Au 0.500 0.165 0.303 (multiplicity 4)

Principal peaks in the range 10 to 90 degrees two-theta, sorted by position:
| d/Å | two_theta | I (rel.) |
| --- | --- | --- |
| 3.613 | 24.64 | 21 |
| 2.652 | 33.80 | 100 |
| 2.442 | 36.81 | 55 |
| 2.365 | 38.04 | 29 |
| 2.086 | 43.38 | 32 |
| 2.023 | 44.80 | 21 |